Structure and theoretical powder XRD pattern of NaSiAs2O8 (DFT lattice parameters and positions (PBE); copper Kα).
Intensities are scaled so that the largest is 100.

Structure:
Cell: 8.849 8.849 8.849 Å, 34.08 34.08 34.08°
Positions (direct):
Na 0.000 0.000 0.000
Si 0.500 0.500 0.500
As 0.233 0.233 0.233
As 0.767 0.767 0.767
O 0.147 0.612 0.612
O 0.300 0.300 0.300
O 0.388 0.388 0.853
O 0.388 0.853 0.388
O 0.612 0.147 0.612
O 0.612 0.612 0.147
O 0.700 0.700 0.700
O 0.853 0.388 0.388

The 10 most intense peaks (2θ from 10° to 90°), low angle first:
2θ/deg	intensity
10.62	40.0
21.02	33.0
24.41	100.0
32.03	7.9
32.25	9.9
34.59	30.1
50.03	11.0
51.74	8.5
56.15	17.4
66.75	7.9